(1)
This entry pairs a crystal structure of Pr2MgNi3H12 with its simulated powder diffractogram. Radiation: λ = 1.5418 Å (Cu Kα). Structure: a PBE-relaxed structure.

The 10 most intense peaks (10 to 80 degrees two-theta), sorted by position:
d_spacing	2theta	Rel. int.
4.866	18.23	51
3.047	29.31	98
2.967	30.12	57
2.609	34.38	90
2.558	35.09	72
2.533	35.44	100
2.433	36.95	43
1.728	52.99	37
1.635	56.27	43
1.483	62.62	31

Structural model:
Cell: 5.9337 5.9337 15.1395 Å, 90.00 90.00 120.00°
Space group R-3m (No. 166, hexagonal axes)
Asymmetric unit:
Pr  0.0000  0.0000  0.1105
Mg  0.0000  0.0000  0.5000
Ni  0.0000  0.5000  0.0000
H  0.0160  0.5080  0.8914
H  0.0392  0.5196  0.3277



(2)
This entry pairs a crystal structure of K2TlSe2O6 with its simulated powder diffractogram. Radiation: λ = 1.5418 Å (Cu Kα). Structure: a PBE-relaxed structure.

The 10 most intense peaks (10 to 80 degrees two-theta), sorted by position:
d_spacing	2theta	Rel. int.
8.194	10.80	100
4.904	18.09	86
4.034	22.03	26
3.619	24.60	54
3.088	28.92	78
2.935	30.45	71
2.889	30.95	33
2.452	36.65	21
2.127	42.49	40
1.752	52.21	27

Structural model:
Cell: 6.1755 6.1755 24.5810 Å, 90.00 90.00 120.00°
Space group R-3m (No. 166, hexagonal axes)
Asymmetric unit:
K  0.0000  0.0000  0.2200
Tl  0.0000  0.0000  0.5000
Se  0.0000  0.0000  0.0751
O  0.0373  0.5187  0.7693



(3)
This entry pairs a crystal structure of CsNaRuF6 with its simulated powder diffractogram. Radiation: λ = 1.5418 Å (Cu Kα). Structure: a PBE-relaxed structure.

The 10 most intense peaks (10 to 80 degrees two-theta), sorted by position:
d_spacing	2theta	Rel. int.
5.057	17.54	20
3.945	22.54	100
2.920	30.62	21
2.675	33.50	7
2.347	38.35	19
2.143	42.16	26
2.138	42.26	8
1.940	46.82	10
1.830	49.82	16
1.387	67.53	7

Structural model:
Cell: 5.8316 10.1285 6.3040 Å, 90.00 90.11 90.00°
Space group C2 (No. 5)
Asymmetric unit:
Cs  0.0000  0.0000  0.0000
Na  0.0000  0.3337  0.5000
Ru  0.0000  0.6665  0.5000
F  0.1254  0.5250  0.3230
F  0.1487  0.8004  0.3232
F  0.2229  0.1742  0.3242



(4)
This entry pairs a crystal structure of SmBC2 with its simulated powder diffractogram. Radiation: λ = 1.5418 Å (Cu Kα). Structure: a PBE-relaxed structure.

The 10 most intense peaks (10 to 80 degrees two-theta), sorted by position:
d_spacing	2theta	Rel. int.
3.685	24.15	51
3.665	24.29	32
3.601	24.72	83
2.599	34.51	47
2.569	34.93	100
2.111	42.84	25
1.830	49.82	40
1.799	50.74	31
1.633	56.33	19
1.616	56.99	17

Structural model:
Cell: 7.3707 3.6650 4.1269 Å, 90.00 90.00 90.00°
Space group Pmma (No. 51)
Asymmetric unit:
Sm  0.2500  0.0000  0.2353
B  0.2500  0.5000  0.7336
C  0.0729  0.5000  0.9087



(5)
This entry pairs a crystal structure of Li3BN2 with its simulated powder diffractogram. Radiation: λ = 1.5418 Å (Cu Kα). Structure: a PBE-relaxed structure.

The 10 most intense peaks (10 to 80 degrees two-theta), sorted by position:
d_spacing	2theta	Rel. int.
3.489	25.53	43
2.796	32.01	100
2.620	34.23	29
2.091	43.27	11
2.053	44.11	37
1.744	52.46	11
1.653	55.59	22
1.635	56.28	9
1.544	59.90	9
1.288	73.55	8

Structural model:
Cell: 4.6758 4.6758 5.2392 Å, 90.00 90.00 90.00°
Space group P4_2/mnm (No. 136)
Asymmetric unit:
Li  0.0000  0.0000  0.0000
Li  0.0000  0.5000  0.2500
B  0.0000  0.0000  0.5000
N  0.2037  0.2037  0.5000



(6)
This entry pairs a crystal structure of Pm3Zn2Ga3 with its simulated powder diffractogram. Radiation: λ = 1.5418 Å (Cu Kα). Structure: a PBE-relaxed structure.

The 10 most intense peaks (10 to 80 degrees two-theta), sorted by position:
d_spacing	2theta	Rel. int.
3.630	24.52	21
2.768	32.34	100
2.747	32.59	61
2.676	33.49	26
2.599	34.50	19
2.478	36.25	21
2.435	36.92	35
2.250	40.08	44
2.234	40.37	36
1.665	55.16	18

Structural model:
Cell: 4.5000 10.7024 14.8694 Å, 90.00 90.00 90.00°
Space group Cmcm (No. 63)
Asymmetric unit:
Pm  0.0000  0.0959  0.1093
Pm  0.0000  0.3721  0.2500
Zn  0.0000  0.2025  0.5973
Ga  0.0000  0.3332  0.7500
Ga  0.0000  0.3890  0.0389



(7)
This entry pairs a crystal structure of NdThOsRu with its simulated powder diffractogram. Radiation: λ = 1.5418 Å (Cu Kα). Structure: a PBE-relaxed structure.

The 10 most intense peaks (10 to 80 degrees two-theta), sorted by position:
d_spacing	2theta	Rel. int.
4.089	21.73	7
3.541	25.15	2
2.504	35.86	100
2.135	42.32	4
1.771	51.62	18
1.625	56.65	2
1.584	58.26	1
1.446	64.45	37
1.363	68.89	1
1.252	76.01	11

Structural model:
Cell: 7.0826 7.0826 7.0826 Å, 90.00 90.00 90.00°
Space group F-43m (No. 216)
Asymmetric unit:
Nd  0.0000  0.0000  0.0000
Th  0.0000  0.0000  0.5000
Os  0.2500  0.2500  0.7500
Ru  0.2500  0.2500  0.2500



(8)
This entry pairs a crystal structure of Tb5Pm2Sm with its simulated powder diffractogram. Radiation: λ = 1.5418 Å (Cu Kα). Structure: a PBE-relaxed structure.

The 7 most intense peaks (10 to 80 degrees two-theta), sorted by position:
d_spacing	2theta	Rel. int.
2.932	30.48	100
2.539	35.34	51
1.796	50.85	36
1.531	60.45	43
1.466	63.45	12
1.271	74.71	4
1.268	74.88	2

Structural model:
Cell: 7.1875 14.3749 5.0723 Å, 90.00 90.00 90.00°
Space group Pbam (No. 55)
Asymmetric unit:
Tb  0.0000  0.0000  0.0000
Tb  0.0001  0.2496  0.0000
Tb  0.2501  0.1254  0.5000
Pm  0.2504  0.3747  0.5000
Sm  0.0000  0.5000  0.0000



(9)
This entry pairs a crystal structure of CaLa12Al4N3 with its simulated powder diffractogram. Radiation: λ = 1.5418 Å (Cu Kα). Structure: a PBE-relaxed structure.

The 10 most intense peaks (10 to 80 degrees two-theta), sorted by position:
d_spacing	2theta	Rel. int.
5.145	17.24	31
3.638	24.47	10
2.970	30.09	100
2.572	34.88	61
2.301	39.15	13
1.819	50.15	41
1.715	53.43	7
1.551	59.60	40
1.485	62.54	13
1.286	73.65	6

Structural model:
Cell: 10.2892 10.2892 10.2892 Å, 90.00 90.00 90.00°
Space group Im-3m (No. 229)
Asymmetric unit:
Ca  0.0000  0.0000  0.0000
La  0.0000  0.0000  0.2699
La  0.0000  0.2500  0.5000
Al  0.2500  0.2500  0.2500
N  0.0000  0.0000  0.5000